(1)
Simulated PXRD pattern of LaV3O9 for Cu Kα (weighted mean of Kα1 and Kα2), from a cell relaxed with PBE+U.

Structure:
a = 7.628 Å, b = 7.628 Å, c = 7.903 Å
α = 90.00°, β = 90.00°, γ = 106.21°
Fractional positions:
La 0.112 0.112 0.000
La 0.888 0.888 0.500
V 0.251 0.251 0.500
V 0.298 0.659 0.967
V 0.341 0.702 0.533
V 0.659 0.298 0.033
V 0.702 0.341 0.467
V 0.749 0.749 0.000
O 0.122 0.158 0.671
O 0.158 0.122 0.329
O 0.178 0.811 0.991
O 0.189 0.445 0.033
O 0.189 0.822 0.509
O 0.254 0.478 0.439
O 0.356 0.644 0.750
O 0.445 0.189 0.967
O 0.478 0.254 0.561
O 0.522 0.746 0.061
O 0.555 0.811 0.467
O 0.644 0.356 0.250
O 0.746 0.522 0.939
O 0.811 0.178 0.009
O 0.811 0.555 0.533
O 0.822 0.189 0.491
O 0.842 0.878 0.829
O 0.878 0.842 0.171

Most intense lines, 5° ≤ 2θ ≤ 70°, sorted by position:
two_theta	d (Å)	I/Imax
12.08	7.325	193
14.52	6.101	364
22.49	3.953	1000
23.94	3.717	674
24.30	3.662	202
26.84	3.322	507
32.28	2.773	306
33.09	2.708	255
37.21	2.416	180
42.26	2.139	199
46.11	1.968	166
49.17	1.853	157

=====

(2)
Simulated PXRD pattern of La2VO6 for Cu Kα (weighted mean of Kα1 and Kα2), from a cell relaxed with PBE+U.

Structure:
a = 5.552 Å, b = 6.333 Å, c = 8.844 Å
α = 90.00°, β = 122.04°, γ = 90.00°
Fractional positions:
La 0.210 0.096 0.249
La 0.210 0.404 0.749
La 0.790 0.596 0.251
La 0.790 0.904 0.751
V 0.500 0.000 0.000
V 0.500 0.500 0.500
O 0.164 0.142 0.951
O 0.164 0.358 0.451
O 0.300 0.735 0.933
O 0.300 0.765 0.433
O 0.400 0.050 0.766
O 0.400 0.450 0.266
O 0.600 0.550 0.734
O 0.600 0.950 0.234
O 0.700 0.235 0.567
O 0.700 0.265 0.067
O 0.836 0.642 0.549
O 0.836 0.858 0.049

Most intense lines, 5° ≤ 2θ ≤ 70°, sorted by position:
two_theta	d (Å)	I/Imax
18.34	4.838	198
21.06	4.219	199
21.36	4.159	534
23.55	3.778	403
23.73	3.749	378
25.37	3.511	329
30.68	2.914	1000
32.46	2.758	265
33.53	2.673	463
44.18	2.050	209
46.29	1.961	377
47.19	1.926	276

=====

(3)
Simulated PXRD pattern of La3VO6 for Cu Kα (weighted mean of Kα1 and Kα2), from a cell relaxed with PBE+U.

Structure:
a = 7.602 Å, b = 7.602 Å, c = 5.773 Å
α = 90.00°, β = 90.00°, γ = 102.99°
Fractional positions:
La 0.104 0.896 0.500
La 0.197 0.412 0.537
La 0.412 0.197 0.037
La 0.588 0.803 0.537
La 0.803 0.588 0.037
La 0.896 0.104 0.000
V 0.308 0.692 0.074
V 0.692 0.308 0.574
O 0.085 0.609 0.247
O 0.147 0.172 0.272
O 0.172 0.147 0.772
O 0.286 0.714 0.741
O 0.391 0.915 0.247
O 0.454 0.546 0.223
O 0.546 0.454 0.723
O 0.609 0.085 0.747
O 0.714 0.286 0.241
O 0.828 0.853 0.272
O 0.853 0.828 0.772
O 0.915 0.391 0.747

Most intense lines, 5° ≤ 2θ ≤ 70°, sorted by position:
two_theta	d (Å)	I/Imax
19.49	4.554	174
28.63	3.118	1000
28.89	3.090	362
29.28	3.050	159
30.04	2.975	123
30.98	2.887	182
43.15	2.097	242
43.70	2.072	207
47.88	1.900	212
53.67	1.708	149
56.14	1.638	160
58.12	1.587	118